For Pr4GeBr4, a structure optimized by DFT (GGA-PBE) gives the theoretical XRD peak list in this record (CuKα).
No peak broadening, texture or thermal motion is included.

Largest 10 diffraction maxima, by angle, 2θ = 10–90°:
two_theta	d (Å)	I_rel
22.9	3.885	100
28.6	3.116	28
28.9	3.091	23
34.7	2.584	21
35.2	2.551	40
35.8	2.511	33
39.1	2.306	22
42.4	2.132	18
43.9	2.061	28
58.7	1.573	15

Cell and atoms:
abc: 7.2152 7.2152 11.9900
angles: 90.00 90.00 90.00
Space group I-42m (No. 121)
Symmetry-distinct sites (fractional):
Pr 0.2044 0.2044 0.1526
Ge 0.0000 0.0000 0.0000
Br 0.0000 0.0000 0.3425
Br 0.0000 0.5000 0.0000